(1)
AgBiSe2: simulated powder X-ray diffraction pattern (Cu Kα, 1.54184 Å), based on a crystal structure in the Materials Project, relaxed with PBE.
Neutral-atom scattering factors, no anomalous dispersion.

```
AgBiSe2
1.0
12.883 0.000 0.000
0.000 5.369 0.000
-1.751 0.000 5.303
Ag Bi Se
2 2 4
direct
0.000 0.000 0.000 Ag
0.500 0.500 0.000 Ag
0.000 0.000 0.500 Bi
0.500 0.500 0.500 Bi
0.081 0.500 0.682 Se
0.419 0.000 0.318 Se
0.581 0.000 0.682 Se
0.919 0.500 0.318 Se
```

The 8 most intense peaks (2θ = 5–70°), sorted by position:
14.48°, I 100; 18.04°, I 23; 18.39°, I 23; 27.47°, I 26; 33.38°, I 19; 36.55°, I 21; 40.52°, I 20; 40.64°, I 21

***

(2)
HfGa3: simulated powder X-ray diffraction pattern (Cu Kα, 1.54184 Å), based on a crystal structure in the Materials Project, relaxed with PBE.
Neutral-atom scattering factors, no anomalous dispersion.

```
HfGa3
1.0
3.903 0.000 0.000
0.000 3.903 0.000
0.000 0.000 9.092
Hf Ga
2 6
direct
0.000 0.000 0.000 Hf
0.500 0.500 0.500 Hf
0.000 0.000 0.500 Ga
0.000 0.500 0.250 Ga
0.000 0.500 0.750 Ga
0.500 0.000 0.250 Ga
0.500 0.000 0.750 Ga
0.500 0.500 0.000 Ga
```

The 8 most intense peaks (2θ = 5–70°), sorted by position:
19.53°, I 9; 24.83°, I 20; 37.58°, I 7; 38.15°, I 100; 39.65°, I 22; 46.54°, I 28; 62.76°, I 23; 67.93°, I 9

***

(3)
Dy5P12Ir19: simulated powder X-ray diffraction pattern (Cu Kα, 1.54184 Å), based on a crystal structure in the Materials Project, relaxed with PBE.
Neutral-atom scattering factors, no anomalous dispersion.

```
Dy5P12Ir19
1.0
12.723 0.000 0.000
-6.361 11.018 0.000
0.000 0.000 3.979
Dy P Ir
5 12 19
direct
0.000 0.815 0.000 Dy
0.185 0.185 0.000 Dy
0.333 0.667 0.500 Dy
0.667 0.333 0.500 Dy
0.815 0.000 0.000 Dy
0.000 0.178 0.500 P
0.000 0.642 0.500 P
0.171 0.483 0.000 P
0.178 0.000 0.500 P
0.311 0.829 0.000 P
0.358 0.358 0.500 P
0.483 0.171 0.000 P
0.517 0.689 0.000 P
0.642 0.000 0.500 P
0.689 0.517 0.000 P
0.822 0.822 0.500 P
0.829 0.311 0.000 P
0.000 0.000 0.500 Ir
0.000 0.284 0.000 Ir
0.000 0.463 0.500 Ir
0.133 0.639 0.000 Ir
0.181 0.375 0.500 Ir
0.194 0.819 0.500 Ir
0.284 0.000 0.000 Ir
0.361 0.494 0.000 Ir
0.375 0.181 0.500 Ir
0.463 0.000 0.500 Ir
0.494 0.361 0.000 Ir
0.506 0.867 0.000 Ir
0.537 0.537 0.500 Ir
0.625 0.806 0.500 Ir
0.639 0.133 0.000 Ir
0.716 0.716 0.000 Ir
0.806 0.625 0.500 Ir
0.819 0.194 0.500 Ir
0.867 0.506 0.000 Ir
```

The 8 most intense peaks (2θ = 5–70°), sorted by position:
28.05°, I 20; 31.09°, I 11; 36.15°, I 100; 37.09°, I 15; 45.60°, I 20; 45.85°, I 9; 49.64°, I 15; 69.68°, I 11

***

(4)
FeSe: simulated powder X-ray diffraction pattern (Cu Kα, 1.54184 Å), based on a crystal structure in the Materials Project, relaxed with PBE.
Neutral-atom scattering factors, no anomalous dispersion.

```
FeSe
1.0
3.804 0.000 0.000
-1.902 3.295 0.000
0.000 0.000 5.034
Fe Se
2 2
direct
0.000 0.000 0.000 Fe
0.000 0.000 0.500 Fe
0.333 0.667 0.250 Se
0.667 0.333 0.750 Se
```

The 8 most intense peaks (2θ = 5–70°), sorted by position:
27.06°, I 7; 32.48°, I 100; 45.34°, I 79; 47.82°, I 66; 59.00°, I 17; 61.06°, I 2; 62.07°, I 15; 68.01°, I 22

***

(5)
ZrCrAgS4: simulated powder X-ray diffraction pattern (Cu Kα, 1.54184 Å), based on a crystal structure in the Materials Project, relaxed with PBE.
Neutral-atom scattering factors, no anomalous dispersion.

```
ZrCrAgS4
1.0
3.624 0.000 0.000
0.000 13.244 0.000
0.000 0.000 11.383
Zr Cr Ag S
4 4 4 16
direct
0.000 0.133 0.000 Zr
0.000 0.346 0.471 Zr
0.000 0.654 0.971 Zr
0.000 0.867 0.500 Zr
0.500 0.155 0.641 Cr
0.500 0.360 0.113 Cr
0.500 0.640 0.613 Cr
0.500 0.845 0.141 Cr
0.000 0.080 0.311 Ag
0.000 0.920 0.811 Ag
0.500 0.415 0.800 Ag
0.500 0.585 0.300 Ag
0.000 0.042 0.593 S
0.000 0.271 0.683 S
0.000 0.327 0.974 S
0.000 0.401 0.252 S
0.000 0.599 0.752 S
0.000 0.673 0.474 S
0.000 0.729 0.183 S
0.000 0.958 0.093 S
0.500 0.090 0.845 S
0.500 0.183 0.151 S
0.500 0.209 0.440 S
0.500 0.467 0.536 S
0.500 0.533 0.036 S
0.500 0.791 0.940 S
0.500 0.817 0.651 S
0.500 0.910 0.345 S
```

The 8 most intense peaks (2θ = 5–70°), sorted by position:
26.93°, I 44; 27.08°, I 100; 29.18°, I 61; 32.93°, I 90; 34.90°, I 39; 40.89°, I 47; 49.17°, I 40; 50.36°, I 39

***

(6)
YGa3B4O12: simulated powder X-ray diffraction pattern (Cu Kα, 1.54184 Å), based on a crystal structure in the Materials Project, relaxed with PBE.
Neutral-atom scattering factors, no anomalous dispersion.

```
YGa3B4O12
1.0
4.781 2.760 2.507
-4.781 2.760 2.507
0.000 -5.520 2.507
Y Ga B O
1 3 4 12
direct
0.000 0.000 0.000 Y
0.000 0.546 0.454 Ga
0.454 0.000 0.546 Ga
0.546 0.454 0.000 Ga
0.048 0.500 0.952 B
0.500 0.500 0.500 B
0.500 0.952 0.048 B
0.952 0.048 0.500 B
0.024 0.630 0.794 O
0.096 0.904 0.500 O
0.206 0.370 0.976 O
0.355 0.645 0.500 O
0.370 0.976 0.206 O
0.500 0.096 0.904 O
0.500 0.355 0.645 O
0.630 0.794 0.024 O
0.645 0.500 0.355 O
0.794 0.024 0.630 O
0.904 0.500 0.096 O
0.976 0.206 0.370 O
```

The 8 most intense peaks (2θ = 5–70°), sorted by position:
18.56°, I 17; 24.54°, I 76; 30.95°, I 21; 32.16°, I 100; 37.63°, I 23; 46.33°, I 30; 52.93°, I 28; 53.53°, I 20